[1]
For Nd3ZnSe2, a DFT-relaxed cell (GGA-PBE, Alexandria) gives the simulated powder diffractogram in this record (Cu Kα X-rays).
No peak broadening, texture or thermal motion is included.

Lattice parameters (Å, degrees): 6.0222 12.6834 8.5493 90.00 90.09 90.00
Fractional coordinates of all 24 atoms:
Nd: 0.2485 0.2496 0.3732
Nd: 0.2485 0.2504 0.8732
Nd: 0.2503 0.5863 0.3770
Nd: 0.2503 0.9137 0.8770
Nd: 0.2514 0.5834 0.8723
Nd: 0.2514 0.9166 0.3723
Nd: 0.7486 0.0834 0.6277
Nd: 0.7486 0.4166 0.1277
Nd: 0.7497 0.0863 0.1230
Nd: 0.7497 0.4137 0.6230
Nd: 0.7515 0.7496 0.1268
Nd: 0.7515 0.7504 0.6268
Zn: 0.2484 0.0853 0.6252
Zn: 0.2484 0.4147 0.1252
Zn: 0.7516 0.5853 0.8748
Zn: 0.7516 0.9147 0.3748
Se: 0.2497 0.0837 0.1220
Se: 0.2497 0.4163 0.6220
Se: 0.2515 0.7502 0.1255
Se: 0.2515 0.7498 0.6255
Se: 0.7485 0.2502 0.3745
Se: 0.7485 0.2498 0.8745
Se: 0.7503 0.5837 0.3780
Se: 0.7503 0.9163 0.8780

The 12 most intense peaks (2θ = 10–90°), in order of rising 2θ:
2θ (°)	d/Å	I/Imax
25.55	3.486	9
25.75	3.460	9
29.70	3.008	100
42.29	2.137	13
42.49	2.127	50
42.78	2.114	12
52.50	1.743	13
52.92	1.730	13
61.72	1.503	8
69.63	1.350	6
69.94	1.345	17
77.44	1.232	6


[2]
For AcZn2Sn2, a DFT-relaxed cell (GGA-PBE, Alexandria) gives the simulated powder diffractogram in this record (Cu Kα X-rays).
No peak broadening, texture or thermal motion is included.

Lattice parameters (Å, degrees): 4.8936 4.8936 10.4896 90.00 90.00 90.00
Fractional coordinates of all 10 atoms:
Ac: 0.2500 0.2500 0.2442
Ac: 0.7500 0.7500 0.7558
Zn: 0.2500 0.2500 0.6246
Zn: 0.2500 0.7500 0.0000
Zn: 0.7500 0.2500 0.0000
Zn: 0.7500 0.7500 0.3754
Sn: 0.2500 0.2500 0.8745
Sn: 0.2500 0.7500 0.5000
Sn: 0.7500 0.2500 0.5000
Sn: 0.7500 0.7500 0.1255

The 12 most intense peaks (2θ = 10–90°), in order of rising 2θ:
2θ (°)	d/Å	I/Imax
25.75	3.460	22
30.96	2.888	100
31.45	2.845	71
36.73	2.447	69
47.13	1.928	23
49.11	1.855	42
52.92	1.730	24
59.21	1.560	16
61.20	1.514	22
62.58	1.484	28
75.08	1.265	12
83.68	1.156	14


[3]
For Fe3SbI9, a DFT-relaxed cell (GGA-PBE, Alexandria) gives the simulated powder diffractogram in this record (Cu Kα X-rays).
No peak broadening, texture or thermal motion is included.

Lattice parameters (Å, degrees): 11.2572 11.2572 14.4277 124.17 124.17 53.85
Fractional coordinates of all 26 atoms:
Fe: 0.0732 0.9268 0.5000
Fe: 0.2942 0.4476 0.5464
Fe: 0.4476 0.2942 0.0464
Fe: 0.4717 0.7094 0.3863
Fe: 0.7094 0.4717 0.8863
Fe: 0.9268 0.0732 0.0000
Sb: 0.5021 0.9543 0.2116
Sb: 0.9543 0.5021 0.7116
I: 0.0618 0.4148 0.5129
I: 0.1939 0.9601 0.1550
I: 0.2254 0.7482 0.6293
I: 0.2830 0.9635 0.4986
I: 0.3025 0.5610 0.1887
I: 0.3176 0.3443 0.8498
I: 0.3443 0.3176 0.3498
I: 0.4148 0.0618 0.0129
I: 0.5207 0.6471 0.0058
I: 0.5610 0.3025 0.6887
I: 0.6454 0.7864 0.3825
I: 0.6471 0.5207 0.5058
I: 0.7482 0.2254 0.1293
I: 0.7864 0.6454 0.8825
I: 0.8636 0.8810 0.2894
I: 0.8810 0.8636 0.7894
I: 0.9601 0.1939 0.6550
I: 0.9635 0.2830 0.9986

The 12 most intense peaks (2θ = 10–90°), in order of rising 2θ:
2θ (°)	d/Å	I/Imax
15.07	5.881	84
16.64	5.327	32
23.60	3.770	44
23.91	3.721	81
24.55	3.626	38
24.74	3.599	76
25.72	3.463	100
26.37	3.380	55
28.84	3.096	38
35.68	2.516	30
44.39	2.041	36
45.99	1.973	27


[4]
For SrZr4P6O24, a DFT-relaxed cell (GGA-PBE, Alexandria) gives the simulated powder diffractogram in this record (Cu Kα X-rays).
No peak broadening, texture or thermal motion is included.

Lattice parameters (Å, degrees): 9.3846 9.3846 9.3846 56.53 56.53 56.53
Fractional coordinates of all 35 atoms:
Sr: 0.0000 0.0000 0.0000
Zr: 0.1498 0.1498 0.1498
Zr: 0.3571 0.3571 0.3571
Zr: 0.6429 0.6429 0.6429
Zr: 0.8502 0.8502 0.8502
P: 0.0302 0.7559 0.4569
P: 0.2441 0.5431 0.9698
P: 0.4569 0.0302 0.7559
P: 0.5431 0.9698 0.2441
P: 0.7559 0.4569 0.0302
P: 0.9698 0.2441 0.5431
O: 0.0022 0.2028 0.3872
O: 0.0799 0.9116 0.2716
O: 0.0884 0.7284 0.9200
O: 0.1439 0.2485 0.5181
O: 0.1895 0.5734 0.4512
O: 0.2028 0.3872 0.0022
O: 0.2485 0.5181 0.1439
O: 0.2716 0.0799 0.9116
O: 0.3872 0.0022 0.2028
O: 0.4266 0.5488 0.8105
O: 0.4512 0.1895 0.5734
O: 0.4819 0.8561 0.7515
O: 0.5181 0.1439 0.2485
O: 0.5488 0.8105 0.4266
O: 0.5734 0.4512 0.1895
O: 0.6128 0.9978 0.7972
O: 0.7284 0.9200 0.0884
O: 0.7515 0.4819 0.8561
O: 0.7972 0.6128 0.9978
O: 0.8105 0.4266 0.5488
O: 0.8561 0.7515 0.4819
O: 0.9116 0.2716 0.0799
O: 0.9200 0.0884 0.7284
O: 0.9978 0.7972 0.6128

The 12 most intense peaks (2θ = 10–90°), in order of rising 2θ:
2θ (°)	d/Å	I/Imax
12.10	7.317	20
18.97	4.679	46
19.98	4.444	100
22.99	3.868	79
27.68	3.222	37
30.37	2.943	94
34.97	2.566	38
43.73	2.070	19
46.98	1.934	31
49.79	1.832	17
54.64	1.680	28
59.92	1.544	28


[5]
For LiPaPbO6, a DFT-relaxed cell (GGA-PBE, Alexandria) gives the simulated powder diffractogram in this record (Cu Kα X-rays).
No peak broadening, texture or thermal motion is included.

Lattice parameters (Å, degrees): 5.3956 5.3956 4.9041 90.00 90.00 120.00
Fractional coordinates of all 9 atoms:
Li: 0.0000 0.0000 0.0000
Pa: 0.6667 0.3333 0.5000
Pb: 0.3333 0.6667 0.0000
O: 0.3381 0.0073 0.2449
O: 0.3381 0.3308 0.7551
O: 0.6692 0.0073 0.7551
O: 0.6692 0.6619 0.2449
O: 0.9927 0.3308 0.2449
O: 0.9927 0.6619 0.7551

The 12 most intense peaks (2θ = 10–90°), in order of rising 2θ:
2θ (°)	d/Å	I/Imax
18.99	4.673	35
26.34	3.383	100
33.21	2.698	30
41.59	2.171	10
42.88	2.109	28
50.28	1.815	29
55.28	1.662	27
59.33	1.558	10
59.95	1.543	11
75.94	1.253	11
79.97	1.200	10
81.43	1.182	7


[6]
For Mg13Sn2, a DFT-relaxed cell (GGA-PBE, Alexandria) gives the simulated powder diffractogram in this record (Cu Kα X-rays).
No peak broadening, texture or thermal motion is included.

Lattice parameters (Å, degrees): 9.0223 9.0223 9.0223 54.17 54.17 54.17
Fractional coordinates of all 15 atoms:
Mg: 0.0000 0.0000 0.0000
Mg: 0.0216 0.0216 0.6386
Mg: 0.0216 0.6386 0.0216
Mg: 0.2316 0.2316 0.5961
Mg: 0.2316 0.5961 0.2316
Mg: 0.3614 0.9784 0.9784
Mg: 0.4039 0.7684 0.7684
Mg: 0.5961 0.2316 0.2316
Mg: 0.6386 0.0216 0.0216
Mg: 0.7684 0.4039 0.7684
Mg: 0.7684 0.7684 0.4039
Mg: 0.9784 0.3614 0.9784
Mg: 0.9784 0.9784 0.3614
Sn: 0.2156 0.2156 0.2156
Sn: 0.7844 0.7844 0.7844

The 12 most intense peaks (2θ = 10–90°), in order of rising 2θ:
2θ (°)	d/Å	I/Imax
13.02	6.798	48
14.64	6.053	100
21.63	4.108	52
23.01	3.866	36
24.58	3.622	24
26.22	3.399	22
29.93	2.986	46
33.55	2.671	24
34.24	2.619	24
35.08	2.558	22
36.89	2.437	63
38.78	2.322	63


[7]
For Li2AcPbAu5, a DFT-relaxed cell (GGA-PBE, Alexandria) gives the simulated powder diffractogram in this record (Cu Kα X-rays).
No peak broadening, texture or thermal motion is included.

Lattice parameters (Å, degrees): 4.9534 4.9534 8.0020 90.00 90.00 90.00
Fractional coordinates of all 9 atoms:
Li: 0.0000 0.0000 0.1671
Li: 0.0000 0.0000 0.8329
Ac: 0.5000 0.5000 0.5000
Pb: 0.5000 0.5000 0.0000
Au: 0.0000 0.0000 0.5000
Au: 0.0000 0.5000 0.2369
Au: 0.0000 0.5000 0.7631
Au: 0.5000 0.0000 0.2369
Au: 0.5000 0.0000 0.7631

The 12 most intense peaks (2θ = 10–90°), in order of rising 2θ:
2θ (°)	d/Å	I/Imax
17.91	4.953	6
27.80	3.209	6
34.02	2.635	100
36.27	2.477	44
45.33	2.000	11
52.23	1.751	16
59.39	1.556	20
63.81	1.459	33
71.61	1.318	12
76.42	1.246	9
86.92	1.121	8
88.22	1.108	8


[8]
For Cd13In3, a DFT-relaxed cell (GGA-PBE, Alexandria) gives the simulated powder diffractogram in this record (Cu Kα X-rays).
No peak broadening, texture or thermal motion is included.

Lattice parameters (Å, degrees): 5.9664 8.0237 8.0237 90.00 90.00 90.00
Fractional coordinates of all 16 atoms:
Cd: 0.0000 0.9998 0.9998
Cd: 0.0000 0.0004 0.4868
Cd: 0.0000 0.4861 0.4861
Cd: 0.0000 0.4868 0.0004
Cd: 0.2495 0.2398 0.2398
Cd: 0.2493 0.2395 0.7462
Cd: 0.2493 0.7462 0.2395
Cd: 0.5000 0.0000 0.0000
Cd: 0.5000 0.4867 0.9989
Cd: 0.5000 0.9989 0.4867
Cd: 0.7505 0.2398 0.2398
Cd: 0.7507 0.2395 0.7462
Cd: 0.7507 0.7462 0.2395
In: 0.2496 0.7475 0.7475
In: 0.5000 0.4870 0.4870
In: 0.7504 0.7475 0.7475

The 10 most intense peaks (2θ = 10–90°), in order of rising 2θ:
2θ (°)	d/Å	I/Imax
31.54	2.837	80
37.57	2.394	100
45.20	2.006	29
60.19	1.538	47
62.25	1.492	6
65.85	1.418	9
71.46	1.320	14
74.84	1.269	12
78.36	1.220	11
80.19	1.197	10


[9]
For Hg2GePtW, a DFT-relaxed cell (GGA-PBE, Alexandria) gives the simulated powder diffractogram in this record (Cu Kα X-rays).
No peak broadening, texture or thermal motion is included.

Lattice parameters (Å, degrees): 4.9132 4.9132 4.7858 90.00 90.00 90.00
Fractional coordinates of all 5 atoms:
Hg: 0.0000 0.5000 0.0000
Hg: 0.5000 0.0000 0.0000
Ge: 0.0000 0.0000 0.0000
Pt: 0.5000 0.5000 0.5000
W: 0.0000 0.0000 0.5000

The 12 most intense peaks (2θ = 10–90°), in order of rising 2θ:
2θ (°)	d/Å	I/Imax
31.83	2.811	100
36.58	2.457	51
37.59	2.393	24
52.69	1.737	18
53.46	1.714	35
62.89	1.478	29
64.25	1.450	14
66.52	1.406	18
86.46	1.126	6
87.68	1.113	13
89.13	1.099	9
89.74	1.093	9


[10]
For HfZr2O6, a DFT-relaxed cell (GGA-PBE, Alexandria) gives the simulated powder diffractogram in this record (Cu Kα X-rays).
No peak broadening, texture or thermal motion is included.

Lattice parameters (Å, degrees): 5.7094 5.7094 6.8111 118.40 118.40 39.05
Fractional coordinates of all 9 atoms:
Hf: 0.0000 0.0000 0.0000
Zr: 0.1809 0.1809 0.6354
Zr: 0.8191 0.8191 0.3646
O: 0.0187 0.0187 0.7090
O: 0.2517 0.2517 0.3701
O: 0.3722 0.3722 0.9328
O: 0.6278 0.6278 0.0672
O: 0.7483 0.7483 0.6299
O: 0.9813 0.9813 0.2910

The 12 most intense peaks (2θ = 10–90°), in order of rising 2θ:
2θ (°)	d/Å	I/Imax
17.36	5.109	49
25.23	3.530	100
26.46	3.369	72
29.93	2.985	64
31.97	2.799	34
33.58	2.669	23
34.31	2.614	58
35.80	2.508	33
46.04	1.972	27
47.65	1.908	26
53.55	1.711	34
59.50	1.554	25


[11]
For Tb5Pr2Y12, a DFT-relaxed cell (GGA-PBE, Alexandria) gives the simulated powder diffractogram in this record (Cu Kα X-rays).
No peak broadening, texture or thermal motion is included.

Lattice parameters (Å, degrees): 6.1669 8.8932 11.7492 91.00 102.61 96.54
Fractional coordinates of all 19 atoms:
Tb: 0.0000 0.0000 0.0000
Tb: 0.4321 0.9491 0.8448
Tb: 0.4797 0.5821 0.7483
Tb: 0.5203 0.4179 0.2517
Tb: 0.5679 0.0509 0.1552
Pr: 0.1263 0.4671 0.4002
Pr: 0.8737 0.5329 0.5998
Y: 0.0557 0.6338 0.8984
Y: 0.1275 0.0928 0.3084
Y: 0.2002 0.7381 0.2047
Y: 0.2414 0.2175 0.6309
Y: 0.3135 0.8401 0.5323
Y: 0.3694 0.3156 0.9446
Y: 0.6306 0.6844 0.0554
Y: 0.6865 0.1599 0.4677
Y: 0.7586 0.7825 0.3691
Y: 0.7998 0.2619 0.7953
Y: 0.8725 0.9072 0.6916
Y: 0.9443 0.3662 0.1016

The 12 most intense peaks (2θ = 10–90°), in order of rising 2θ:
2θ (°)	d/Å	I/Imax
29.17	3.061	43
31.05	2.880	100
31.21	2.866	71
31.57	2.834	86
32.00	2.797	36
32.96	2.717	67
33.28	2.692	72
34.16	2.625	30
49.27	1.849	24
54.44	1.686	25
59.39	1.556	27
61.97	1.498	30


[12]
For BeCr2W, a DFT-relaxed cell (GGA-PBE, Alexandria) gives the simulated powder diffractogram in this record (Cu Kα X-rays).
No peak broadening, texture or thermal motion is included.

Lattice parameters (Å, degrees): 3.0379 3.0379 5.2290 90.00 90.00 90.00
Fractional coordinates of all 4 atoms:
Be: 0.0000 0.0000 0.0000
Cr: 0.5000 0.5000 0.2112
Cr: 0.5000 0.5000 0.7887
W: 0.0000 0.0000 0.5000

The 12 most intense peaks (2θ = 10–90°), in order of rising 2θ:
2θ (°)	d/Å	I/Imax
16.96	5.229	72
29.40	3.038	11
34.13	2.627	100
42.06	2.148	60
45.66	1.987	25
45.79	1.982	85
52.50	1.743	11
61.00	1.519	19
69.44	1.353	18
71.80	1.315	26
79.51	1.206	32
84.63	1.145	11